1.
Diffraction record for SrTbNi2P2. The powder diffraction line list is simulated, not measured: it uses a structure optimized by DFT (GGA-PBE) and a wavelength of 1.5418 Å.
Neutral-atom scattering factors, no anomalous dispersion.

Most intense lines, 2θ from 10° to 90°, low angle first:
| two_theta | d_spacing | I/Imax |
| --- | --- | --- |
| 10.72 | 8.250 | 185 |
| 26.23 | 3.397 | 188 |
| 28.41 | 3.141 | 94 |
| 34.19 | 2.622 | 1000 |
| 42.28 | 2.138 | 66 |
| 43.90 | 2.063 | 123 |
| 46.29 | 1.961 | 347 |
| 51.86 | 1.763 | 73 |
| 58.79 | 1.571 | 203 |
| 65.69 | 1.421 | 215 |
| 74.43 | 1.275 | 90 |
| 77.92 | 1.226 | 178 |

Crystal structure
a = 3.9228 Å, b = 3.9228 Å, c = 8.2502 Å
α = 90.00°, β = 90.00°, γ = 120.00°
Positions (direct):
Sr1 0.0000 0.0000 0.0000
Tb1 0.0000 0.0000 0.5000
Ni1 0.3333 0.6667 0.7311
Ni2 0.6667 0.3333 0.2689
P1 0.3333 0.6667 0.2692
P2 0.6667 0.3333 0.7308

=====

2.
Diffraction record for Nb2TlPS10. The powder diffraction line list is simulated, not measured: it uses a structure optimized by DFT (GGA-PBE) and a wavelength of 1.5418 Å.
Neutral-atom scattering factors, no anomalous dispersion.

Most intense lines, 2θ from 10° to 90°, low angle first:
| two_theta | d_spacing | I/Imax |
| --- | --- | --- |
| 14.10 | 6.279 | 224 |
| 17.61 | 5.036 | 1000 |
| 18.38 | 4.827 | 496 |
| 20.05 | 4.428 | 203 |
| 23.57 | 3.774 | 404 |
| 24.96 | 3.568 | 256 |
| 27.59 | 3.234 | 217 |
| 28.63 | 3.118 | 200 |
| 32.76 | 2.734 | 319 |
| 35.67 | 2.517 | 284 |
| 36.89 | 2.437 | 202 |
| 40.75 | 2.214 | 214 |

Crystal structure
a = 7.0711 Å, b = 7.5479 Å, c = 13.1327 Å
α = 90.00°, β = 107.01°, γ = 90.00°
Positions (direct):
Nb1 0.0000 0.0559 0.0000
Nb2 0.0000 0.9441 0.5000
Nb3 0.9929 0.0627 0.2885
Nb4 0.9929 0.9373 0.7885
Tl1 0.5763 0.4928 0.0488
Tl2 0.5763 0.5072 0.5488
P1 0.1469 0.3998 0.1681
P2 0.1469 0.6002 0.6681
S1 0.0022 0.4019 0.0067
S2 0.0022 0.5981 0.5067
S3 0.2539 0.1440 0.4623
S4 0.2539 0.8560 0.9623
S5 0.2562 0.1401 0.1864
S6 0.2562 0.8599 0.6864
S7 0.2693 0.1103 0.9109
S8 0.2693 0.8897 0.4109
S9 0.3500 0.4123 0.7157
S10 0.3500 0.5877 0.2157
S11 0.7333 0.1313 0.3765
S12 0.7333 0.8687 0.8765
S13 0.7337 0.1265 0.8331
S14 0.7337 0.8735 0.3331
S15 0.7382 0.0467 0.1038
S16 0.7382 0.9533 0.6038
S17 0.9312 0.1645 0.6352
S18 0.9312 0.8355 0.1352
S19 0.9483 0.3994 0.2569
S20 0.9483 0.6006 0.7569

=====

3.
Diffraction record for PrAgPt. The powder diffraction line list is simulated, not measured: it uses a structure optimized by DFT (GGA-PBE) and a wavelength of 1.5418 Å.
Neutral-atom scattering factors, no anomalous dispersion.

Most intense lines, 2θ from 10° to 90°, low angle first:
| two_theta | d_spacing | I/Imax |
| --- | --- | --- |
| 22.80 | 3.900 | 452 |
| 26.39 | 3.378 | 27 |
| 37.66 | 2.388 | 1000 |
| 44.48 | 2.037 | 239 |
| 46.57 | 1.950 | 7 |
| 54.32 | 1.689 | 172 |
| 59.66 | 1.550 | 102 |
| 61.37 | 1.511 | 8 |
| 67.98 | 1.379 | 349 |
| 72.74 | 1.300 | 76 |
| 80.41 | 1.194 | 110 |
| 84.93 | 1.142 | 78 |

Crystal structure
a = 4.7769 Å, b = 4.7769 Å, c = 4.7769 Å
α = 60.00°, β = 60.00°, γ = 60.00°
Positions (direct):
Pr1 0.0000 0.0000 0.0000
Ag1 0.5000 0.5000 0.5000
Pt1 0.7500 0.7500 0.7500

=====

4.
Diffraction record for Pr5Ni19. The powder diffraction line list is simulated, not measured: it uses a structure optimized by DFT (GGA-PBE) and a wavelength of 1.5418 Å.
Neutral-atom scattering factors, no anomalous dispersion.

Most intense lines, 2θ from 10° to 90°, low angle first:
| two_theta | d_spacing | I/Imax |
| --- | --- | --- |
| 30.12 | 2.967 | 82 |
| 32.24 | 2.776 | 506 |
| 35.74 | 2.512 | 412 |
| 41.58 | 2.172 | 393 |
| 42.32 | 2.136 | 1000 |
| 44.68 | 2.028 | 161 |
| 46.09 | 1.969 | 112 |
| 62.03 | 1.496 | 153 |
| 63.52 | 1.465 | 85 |
| 64.99 | 1.435 | 169 |
| 68.74 | 1.366 | 210 |
| 75.73 | 1.256 | 195 |

Crystal structure
a = 5.0241 Å, b = 5.0241 Å, c = 32.4514 Å
α = 90.00°, β = 90.00°, γ = 120.00°
Positions (direct):
Pr1 0.3333 0.6667 0.0228
Pr2 0.3333 0.6667 0.1328
Pr3 0.3333 0.6667 0.2500
Pr4 0.3333 0.6667 0.3672
Pr5 0.3333 0.6667 0.4772
Pr6 0.6667 0.3333 0.5228
Pr7 0.6667 0.3333 0.6328
Pr8 0.6667 0.3333 0.7500
Pr9 0.6667 0.3333 0.8672
Pr10 0.6667 0.3333 0.9772
Ni1 0.0000 0.0000 0.0000
Ni2 0.0000 0.0000 0.1278
Ni3 0.0000 0.0000 0.2500
Ni4 0.0000 0.0000 0.3722
Ni5 0.0000 0.0000 0.5000
Ni6 0.0000 0.0000 0.6278
Ni7 0.0000 0.0000 0.7500
Ni8 0.0000 0.0000 0.8722
Ni9 0.1665 0.3330 0.5663
Ni10 0.1666 0.3333 0.6893
Ni11 0.1666 0.3333 0.8107
Ni12 0.1665 0.3330 0.9337
Ni13 0.1665 0.8335 0.5663
Ni14 0.1666 0.8334 0.6893
Ni15 0.1666 0.8334 0.8107
Ni16 0.1665 0.8335 0.9337
Ni17 0.3330 0.1665 0.0663
Ni18 0.3333 0.1666 0.1893
Ni19 0.3333 0.1666 0.3107
Ni20 0.3330 0.1665 0.4337
Ni21 0.3333 0.6667 0.6272
Ni22 0.3333 0.6667 0.7500
Ni23 0.3333 0.6667 0.8728
Ni24 0.6667 0.3333 0.1272
Ni25 0.6667 0.3333 0.2500
Ni26 0.6667 0.3333 0.3728
Ni27 0.6670 0.8335 0.5663
Ni28 0.6667 0.8334 0.6893
Ni29 0.6667 0.8334 0.8107
Ni30 0.6670 0.8335 0.9337
Ni31 0.8335 0.1665 0.0663
Ni32 0.8334 0.1666 0.1893
Ni33 0.8334 0.1666 0.3107
Ni34 0.8335 0.1665 0.4337
Ni35 0.8335 0.6670 0.0663
Ni36 0.8334 0.6667 0.1893
Ni37 0.8334 0.6667 0.3107
Ni38 0.8335 0.6670 0.4337

=====

5.
Diffraction record for GdMgAgAu. The powder diffraction line list is simulated, not measured: it uses a structure optimized by DFT (GGA-PBE) and a wavelength of 1.5418 Å.
Neutral-atom scattering factors, no anomalous dispersion.

Most intense lines, 2θ from 10° to 90°, low angle first:
| two_theta | d_spacing | I/Imax |
| --- | --- | --- |
| 22.08 | 4.026 | 350 |
| 25.30 | 3.520 | 89 |
| 36.03 | 2.493 | 255 |
| 36.14 | 2.485 | 261 |
| 36.62 | 2.454 | 1000 |
| 42.71 | 2.117 | 130 |
| 51.96 | 1.760 | 178 |
| 53.54 | 1.712 | 84 |
| 65.16 | 1.432 | 172 |
| 65.31 | 1.429 | 182 |
| 66.27 | 1.410 | 173 |
| 77.85 | 1.227 | 109 |

Crystal structure
a = 4.9704 Å, b = 4.9852 Å, c = 6.8468 Å
α = 90.00°, β = 90.00°, γ = 90.00°
Positions (direct):
Gd1 0.0000 0.2358 0.0000
Gd2 0.5000 0.7642 0.5000
Mg1 0.0000 0.2499 0.4999
Mg2 0.5000 0.7501 0.9999
Ag1 0.0000 0.7352 0.2487
Ag2 0.5000 0.2648 0.7487
Au1 0.0000 0.7357 0.7514
Au2 0.5000 0.2643 0.2514

=====

6.
Diffraction record for MgCu5As2. The powder diffraction line list is simulated, not measured: it uses a structure optimized by DFT (GGA-PBE) and a wavelength of 1.5418 Å.
Neutral-atom scattering factors, no anomalous dispersion.

Most intense lines, 2θ from 10° to 90°, low angle first:
| two_theta | d_spacing | I/Imax |
| --- | --- | --- |
| 13.73 | 6.448 | 111 |
| 25.34 | 3.515 | 51 |
| 41.37 | 2.183 | 1000 |
| 43.15 | 2.097 | 467 |
| 45.49 | 1.994 | 22 |
| 52.59 | 1.740 | 54 |
| 57.14 | 1.612 | 78 |
| 62.66 | 1.483 | 144 |
| 74.20 | 1.278 | 136 |
| 77.90 | 1.226 | 279 |
| 86.17 | 1.129 | 23 |
| 89.89 | 1.091 | 83 |

Crystal structure
a = 4.1934 Å, b = 4.1934 Å, c = 6.4484 Å
α = 90.00°, β = 90.00°, γ = 90.00°
Positions (direct):
Mg1 0.0000 0.0000 0.0000
Cu1 0.0000 0.5000 0.2758
Cu2 0.0000 0.5000 0.7242
Cu3 0.5000 0.0000 0.2758
Cu4 0.5000 0.0000 0.7242
Cu5 0.5000 0.5000 0.5000
As1 0.0000 0.0000 0.5000
As2 0.5000 0.5000 0.0000

=====

7.
Diffraction record for Tl2Cu2Pb3Se8. The powder diffraction line list is simulated, not measured: it uses a structure optimized by DFT (GGA-PBE) and a wavelength of 1.5418 Å.
Neutral-atom scattering factors, no anomalous dispersion.

Most intense lines, 2θ from 10° to 90°, low angle first:
| two_theta | d_spacing | I/Imax |
| --- | --- | --- |
| 20.16 | 4.404 | 198 |
| 21.09 | 4.213 | 193 |
| 26.25 | 3.395 | 263 |
| 30.03 | 2.976 | 710 |
| 30.20 | 2.959 | 1000 |
| 30.70 | 2.913 | 427 |
| 30.92 | 2.892 | 382 |
| 36.21 | 2.481 | 216 |
| 39.25 | 2.296 | 315 |
| 42.70 | 2.118 | 346 |
| 42.96 | 2.106 | 441 |
| 53.29 | 1.719 | 313 |

Crystal structure
a = 6.5872 Å, b = 6.5872 Å, c = 15.3510 Å
α = 103.50°, β = 103.50°, γ = 37.28°
Positions (direct):
Tl1 0.2109 0.2109 0.3120
Tl2 0.7891 0.7891 0.6880
Cu1 0.4917 0.4917 0.7022
Cu2 0.5083 0.5083 0.2978
Pb1 0.0000 0.0000 0.5000
Pb2 0.1614 0.1614 0.8977
Pb3 0.8386 0.8386 0.1023
Se1 0.0988 0.0988 0.6955
Se2 0.1681 0.1681 0.0924
Se3 0.3636 0.3636 0.5545
Se4 0.4880 0.4880 0.8578
Se5 0.5120 0.5120 0.1422
Se6 0.6364 0.6364 0.4455
Se7 0.8319 0.8319 0.9076
Se8 0.9012 0.9012 0.3045

=====

8.
Diffraction record for LiGaOs2. The powder diffraction line list is simulated, not measured: it uses a structure optimized by DFT (GGA-PBE) and a wavelength of 1.5418 Å.
Neutral-atom scattering factors, no anomalous dispersion.

Most intense lines, 2θ from 10° to 90°, low angle first:
| two_theta | d_spacing | I/Imax |
| --- | --- | --- |
| 25.65 | 3.473 | 561 |
| 29.70 | 3.008 | 30 |
| 42.50 | 2.127 | 1000 |
| 50.30 | 1.814 | 279 |
| 52.71 | 1.737 | 8 |
| 61.67 | 1.504 | 167 |
| 67.92 | 1.380 | 115 |
| 69.93 | 1.345 | 10 |
| 77.78 | 1.228 | 343 |
| 83.50 | 1.158 | 90 |

Crystal structure
a = 4.2538 Å, b = 4.2538 Å, c = 4.2538 Å
α = 60.00°, β = 60.00°, γ = 60.00°
Positions (direct):
Li1 0.0000 0.0000 0.0000
Ga1 0.7500 0.7500 0.7500
Os1 0.2500 0.2500 0.2500
Os2 0.5000 0.5000 0.5000

=====

What did the seventh record say?
Diffraction record for Tl2Cu2Pb3Se8. The powder diffraction line list is simulated, not measured: it uses a structure optimized by DFT (GGA-PBE) and a wavelength of 1.5418 Å.
Neutral-atom scattering factors, no anomalous dispersion.

Most intense lines, 2θ from 10° to 90°, low angle first:
| two_theta | d_spacing | I/Imax |
| --- | --- | --- |
| 20.16 | 4.404 | 198 |
| 21.09 | 4.213 | 193 |
| 26.25 | 3.395 | 263 |
| 30.03 | 2.976 | 710 |
| 30.20 | 2.959 | 1000 |
| 30.70 | 2.913 | 427 |
| 30.92 | 2.892 | 382 |
| 36.21 | 2.481 | 216 |
| 39.25 | 2.296 | 315 |
| 42.70 | 2.118 | 346 |
| 42.96 | 2.106 | 441 |
| 53.29 | 1.719 | 313 |

Crystal structure
a = 6.5872 Å, b = 6.5872 Å, c = 15.3510 Å
α = 103.50°, β = 103.50°, γ = 37.28°
Positions (direct):
Tl1 0.2109 0.2109 0.3120
Tl2 0.7891 0.7891 0.6880
Cu1 0.4917 0.4917 0.7022
Cu2 0.5083 0.5083 0.2978
Pb1 0.0000 0.0000 0.5000
Pb2 0.1614 0.1614 0.8977
Pb3 0.8386 0.8386 0.1023
Se1 0.0988 0.0988 0.6955
Se2 0.1681 0.1681 0.0924
Se3 0.3636 0.3636 0.5545
Se4 0.4880 0.4880 0.8578
Se5 0.5120 0.5120 0.1422
Se6 0.6364 0.6364 0.4455
Se7 0.8319 0.8319 0.9076
Se8 0.9012 0.9012 0.3045